This entry pairs a crystal structure of Er2TmZn3AgIr2 with its simulated PXRD pattern. Radiation: Cu Kα X-rays. Structure: a cell relaxed with GGA-PBE.

Atomic structure:
Lattice parameters (Å, degrees): 3.7800 7.2717 7.2717 119.93 90.00 90.00
Fractional coordinates of all 9 atoms:
Er1 0.0000 0.2072 0.7928
Er2 0.0000 0.7928 0.2072
Tm1 0.0000 0.6214 0.6214
Zn1 0.5000 0.2074 0.4727
Zn2 0.5000 0.4727 0.2074
Zn3 0.5000 0.9418 0.9418
Ag1 0.0000 0.2079 0.2079
Ir1 0.5000 0.5409 0.8729
Ir2 0.5000 0.8729 0.5409

Most intense lines, 5° ≤ 2θ ≤ 70°, in order of falling intensity:
2θ = 37.2°, I 100; 2θ = 34.2°, I 97; 2θ = 43.1°, I 42; 2θ = 37.8°, I 32; 2θ = 69.6°, I 27; 2θ = 45.0°, I 24; 2θ = 48.1°, I 24; 2θ = 66.6°, I 23; 2θ = 14.1°, I 20; 2θ = 24.5°, I 20

This entry pairs a crystal structure of NaTmFeTe3 with its simulated PXRD pattern. Radiation: Cu Kα X-rays. Structure: a cell relaxed with GGA-PBE.

Atomic structure:
Lattice parameters (Å, degrees): 11.3170 4.2553 14.3412 90.00 90.00 90.00
Fractional coordinates of all 24 atoms:
Na1 0.2251 0.2500 0.0108
Na2 0.2749 0.7500 0.5108
Na3 0.7251 0.2500 0.4892
Na4 0.7749 0.7500 0.9892
Tm1 0.0142 0.7500 0.7439
Tm2 0.4858 0.2500 0.2439
Tm3 0.5142 0.7500 0.7561
Tm4 0.9858 0.2500 0.2561
Fe1 0.2390 0.7500 0.2194
Fe2 0.2610 0.2500 0.7194
Fe3 0.7390 0.7500 0.2806
Fe4 0.7610 0.2500 0.7806
Te1 0.0503 0.7500 0.1145
Te2 0.0823 0.2500 0.6045
Te3 0.2387 0.2500 0.3323
Te4 0.2613 0.7500 0.8323
Te5 0.4177 0.7500 0.1045
Te6 0.4497 0.2500 0.6145
Te7 0.5503 0.7500 0.3855
Te8 0.5823 0.2500 0.8955
Te9 0.7387 0.2500 0.1677
Te10 0.7613 0.7500 0.6677
Te11 0.9177 0.7500 0.3955
Te12 0.9497 0.2500 0.8855

Most intense lines, 5° ≤ 2θ ≤ 70°, in order of falling intensity:
2θ = 32.3°, I 100; 2θ = 12.3°, I 78; 2θ = 28.1°, I 55; 2θ = 26.7°, I 53; 2θ = 29.2°, I 46; 2θ = 41.2°, I 43; 2θ = 42.5°, I 32; 2θ = 45.1°, I 28; 2θ = 23.2°, I 26; 2θ = 41.0°, I 24

This entry pairs a crystal structure of Zr2Ni3P3 with its simulated PXRD pattern. Radiation: Cu Kα X-rays. Structure: a cell relaxed with GGA-PBE.

Atomic structure:
Lattice parameters (Å, degrees): 12.3603 3.6289 10.0373 90.00 90.00 90.00
Fractional coordinates of all 32 atoms:
Zr1 0.0049 0.2500 0.1623
Zr2 0.2085 0.7500 0.5747
Zr3 0.2915 0.2500 0.0747
Zr4 0.4951 0.7500 0.6623
Zr5 0.5049 0.2500 0.3377
Zr6 0.7085 0.7500 0.9253
Zr7 0.7915 0.2500 0.4253
Zr8 0.9951 0.7500 0.8377
Ni1 0.0165 0.2500 0.5962
Ni2 0.1654 0.7500 0.2740
Ni3 0.2182 0.7500 0.8647
Ni4 0.2818 0.2500 0.3647
Ni5 0.3346 0.2500 0.7740
Ni6 0.4835 0.7500 0.0962
Ni7 0.5165 0.2500 0.9038
Ni8 0.6654 0.7500 0.2260
Ni9 0.7182 0.7500 0.6353
Ni10 0.7818 0.2500 0.1353
Ni11 0.8346 0.2500 0.7260
Ni12 0.9835 0.7500 0.4038
P1 0.1015 0.2500 0.3976
P2 0.1290 0.7500 0.0539
P3 0.1451 0.2500 0.7637
P4 0.3549 0.7500 0.2637
P5 0.3710 0.2500 0.5539
P6 0.3985 0.7500 0.8976
P7 0.6015 0.2500 0.1024
P8 0.6290 0.7500 0.4461
P9 0.6451 0.2500 0.7363
P10 0.8549 0.7500 0.2363
P11 0.8710 0.2500 0.9461
P12 0.8985 0.7500 0.6024

Most intense lines, 5° ≤ 2θ ≤ 70°, in order of falling intensity:
2θ = 39.4°, I 100; 2θ = 37.6°, I 52; 2θ = 36.5°, I 51; 2θ = 38.3°, I 45; 2θ = 50.3°, I 43; 2θ = 31.3°, I 35; 2θ = 52.1°, I 30; 2θ = 48.1°, I 25; 2θ = 46.6°, I 19; 2θ = 34.1°, I 15

This entry pairs a crystal structure of AlIrOs2 with its simulated PXRD pattern. Radiation: Cu Kα X-rays. Structure: a cell relaxed with GGA-PBE.

Atomic structure:
Lattice parameters (Å, degrees): 4.3552 4.3552 4.3552 60.00 60.00 60.00
Fractional coordinates of all 4 atoms:
Al1 0.0000 0.0000 0.0000
Ir1 0.2500 0.2500 0.2500
Os1 0.5000 0.5000 0.5000
Os2 0.7500 0.7500 0.7500

Most intense lines, 5° ≤ 2θ ≤ 70°, in order of falling intensity:
2θ = 41.5°, I 100; 2θ = 25.0°, I 18; 2θ = 60.1°, I 17; 2θ = 29.0°, I 10; 2θ = 49.1°, I 9; 2θ = 66.1°, I 4; 2θ = 68.1°, I 4; 2θ = 51.4°, I 3

This entry pairs a crystal structure of Y2Er3Lu2Ni2Te2 with its simulated PXRD pattern. Radiation: Cu Kα X-rays. Structure: a cell relaxed with GGA-PBE.

Atomic structure:
Lattice parameters (Å, degrees): 9.2783 9.2783 9.2783 156.18 67.00 118.42
Fractional coordinates of all 11 atoms:
Y1 0.1468 0.0000 0.1468
Y2 0.8532 0.0000 0.8532
Er1 0.2320 0.7320 0.5000
Er2 0.5166 0.1492 0.3675
Er3 0.7817 0.1492 0.6325
Lu1 0.1665 0.3512 0.8153
Lu2 0.5359 0.3512 0.1847
Ni1 0.3998 0.6610 0.7388
Ni2 0.9222 0.6610 0.2612
Te1 0.4957 0.4957 0.0000
Te2 0.8952 0.3952 0.5000

Most intense lines, 5° ≤ 2θ ≤ 70°, in order of falling intensity:
2θ = 34.3°, I 100; 2θ = 34.8°, I 92; 2θ = 33.2°, I 81; 2θ = 30.5°, I 50; 2θ = 47.5°, I 34; 2θ = 59.2°, I 31; 2θ = 30.4°, I 30; 2θ = 25.1°, I 25; 2θ = 38.7°, I 22; 2θ = 36.8°, I 21

This entry pairs a crystal structure of GdEr2Tm with its simulated PXRD pattern. Radiation: Cu Kα X-rays. Structure: a cell relaxed with GGA-PBE.

Atomic structure:
Lattice parameters (Å, degrees): 5.5873 7.1433 7.1433 120.00 90.00 90.00
Fractional coordinates of all 8 atoms:
Gd1 0.2500 0.1667 0.8333
Gd2 0.7500 0.8333 0.1667
Er1 0.2500 0.1685 0.3342
Er2 0.2500 0.6657 0.3342
Er3 0.7500 0.3342 0.1685
Er4 0.7500 0.3342 0.6657
Tm1 0.2500 0.6657 0.8315
Tm2 0.7500 0.8315 0.6657

Most intense lines, 5° ≤ 2θ ≤ 70°, in order of falling intensity:
2θ = 33.1°, I 100; 2θ = 32.0°, I 24; 2θ = 28.9°, I 24; 2θ = 61.6°, I 23; 2θ = 57.8°, I 21; 2θ = 51.1°, I 20; 2θ = 62.3°, I 16; 2θ = 43.7°, I 16; 2θ = 69.5°, I 4; 2θ = 59.8°, I 3

This entry pairs a crystal structure of SmZrNO with its simulated PXRD pattern. Radiation: Cu Kα X-rays. Structure: a cell relaxed with GGA-PBE.

Atomic structure:
Lattice parameters (Å, degrees): 7.9706 6.6769 4.7575 90.00 90.00 90.00
Fractional coordinates of all 16 atoms:
Sm1 0.1259 0.0540 0.2500
Sm2 0.1259 0.4460 0.7500
Sm3 0.8741 0.5540 0.2500
Sm4 0.8741 0.9460 0.7500
Zr1 0.3777 0.5932 0.2500
Zr2 0.3777 0.9068 0.7500
Zr3 0.6223 0.0932 0.2500
Zr4 0.6223 0.4068 0.7500
N1 0.3984 0.5832 0.7500
N2 0.3984 0.9168 0.2500
N3 0.6016 0.0832 0.7500
N4 0.6016 0.4168 0.2500
O1 0.1543 0.0948 0.7500
O2 0.1543 0.4052 0.2500
O3 0.8457 0.5948 0.7500
O4 0.8457 0.9052 0.2500

Most intense lines, 5° ≤ 2θ ≤ 70°, in order of falling intensity:
2θ = 32.2°, I 100; 2θ = 26.0°, I 32; 2θ = 37.8°, I 32; 2θ = 26.7°, I 30; 2θ = 32.8°, I 29; 2θ = 46.7°, I 28; 2θ = 61.6°, I 23; 2θ = 45.5°, I 18; 2θ = 46.5°, I 17; 2θ = 60.6°, I 15

This entry pairs a crystal structure of Zr8Ni21 with its simulated PXRD pattern. Radiation: Cu Kα X-rays. Structure: a cell relaxed with GGA-PBE.

Atomic structure:
Lattice parameters (Å, degrees): 6.4542 8.0671 8.5620 75.30 68.04 75.28
Fractional coordinates of all 29 atoms:
Zr1 0.0666 0.0376 0.2479
Zr2 0.2512 0.5636 0.9663
Zr3 0.2528 0.4405 0.3929
Zr4 0.4306 0.0957 0.6854
Zr5 0.5694 0.9043 0.3146
Zr6 0.7472 0.5595 0.6071
Zr7 0.7488 0.4364 0.0337
Zr8 0.9334 0.9624 0.7521
Ni1 0.0152 0.6174 0.7554
Ni2 0.0155 0.2924 0.7256
Ni3 0.1823 0.2563 0.9520
Ni4 0.1833 0.9014 0.9641
Ni5 0.1964 0.7550 0.4586
Ni6 0.2134 0.1146 0.4701
Ni7 0.3637 0.7874 0.6574
Ni8 0.3805 0.4451 0.6515
Ni9 0.4008 0.7199 0.1540
Ni10 0.4020 0.2407 0.1525
Ni11 0.5000 0.0000 0.0000
Ni12 0.5980 0.7593 0.8475
Ni13 0.5992 0.2801 0.8460
Ni14 0.6195 0.5549 0.3485
Ni15 0.6363 0.2126 0.3426
Ni16 0.7866 0.8854 0.5299
Ni17 0.8036 0.2450 0.5414
Ni18 0.8167 0.0986 0.0359
Ni19 0.8177 0.7437 0.0480
Ni20 0.9845 0.7076 0.2744
Ni21 0.9848 0.3826 0.2446

Most intense lines, 5° ≤ 2θ ≤ 70°, in order of falling intensity:
2θ = 44.2°, I 100; 2θ = 43.7°, I 45; 2θ = 42.2°, I 42; 2θ = 41.0°, I 42; 2θ = 43.3°, I 39; 2θ = 42.5°, I 14; 2θ = 41.3°, I 12; 2θ = 47.9°, I 12; 2θ = 38.9°, I 10; 2θ = 35.9°, I 10